# UTl2WO6
Computed powder X-ray diffraction pattern, Cu Kα (λ = 1.5418 Å). Input: DFT lattice parameters and positions (GGA+U).

Crystal structure
```
data_UTl2WO6
_cell_length_a 5.9965
_cell_length_b 5.9965
_cell_length_c 5.9965
_cell_angle_alpha 120.36
_cell_angle_beta 120.36
_cell_angle_gamma 89.38
_space_group_name_H-M_alt 'P 1'
_space_group_IT_number 1
loop_
_space_group_symop_operation_xyz
'x,y,z'
loop_
_atom_site_label
_atom_site_type_symbol
_atom_site_fract_x
_atom_site_fract_y
_atom_site_fract_z
U1 U 0.0000 0.0000 0.0000
Tl1 Tl 0.2500 0.7500 0.5000
Tl2 Tl 0.7500 0.2500 0.5000
W1 W 0.5000 0.5000 0.0000
O1 O 0.2530 0.2530 0.5061
O2 O 0.2530 0.7470 0.0000
O3 O 0.2723 0.2723 0.0000
O4 O 0.7277 0.7277 0.0000
O5 O 0.7470 0.2530 0.0000
O6 O 0.7470 0.7470 0.4939
```

The 8 most intense peaks (2θ from 10° to 80°), sorted by position:
| 2θ (°) | d (Å) | I/Imax |
| --- | --- | --- |
| 29.8 | 2.998 | 100 |
| 30.0 | 2.982 | 49 |
| 42.4 | 2.131 | 13 |
| 42.9 | 2.109 | 26 |
| 52.8 | 1.734 | 21 |
| 53.1 | 1.725 | 42 |
| 61.9 | 1.499 | 17 |
| 70.6 | 1.334 | 18 |